Re5C3: theoretical powder diffractogram (λ = 1.5418 Å (Cu Kα)), based on a cell relaxed with GGA-PBE.
Kinematic intensities with the Lorentz-polarization factor, no thermal factor.

Crystal structure
a = 5.5259 Å, b = 11.8050 Å, c = 6.1564 Å
α = 90.00°, β = 103.93°, γ = 90.00°
Space group Cm (No. 8)
Inequivalent atoms, fractional coordinates:
Re (0.0000, 0.0000, 0.0000) x2
Re (0.0162, 0.5000, 0.0581) x2
Re (0.1112, 0.3902, 0.6955) x4
Re (0.2375, 0.1848, 0.8539) x4
Re (0.3163, 0.1554, 0.2852) x4
Re (0.3762, 0.3897, 0.3655) x4
C (0.3968, 0.2626, 0.6041) x4
C (0.4119, 0.0000, 0.4349) x2
C (0.4207, 0.5000, 0.6516) x2
C (0.4352, 0.3137, 0.0583) x4

Main lines, in order of falling intensity (10 to 90 degrees two-theta):
(2 4 -1), 2θ = 45.52°, rel. 100
(0 4 1), 2θ = 33.86°, rel. 89
(2 0 -2), 2θ = 39.38°, rel. 84
(0 4 2), 2θ = 43.09°, rel. 79
(2 2 0), 2θ = 36.81°, rel. 54
(2 0 1), 2θ = 40.03°, rel. 51
(1 5 0), 2θ = 41.80°, rel. 50
(1 3 -3), 2θ = 50.51°, rel. 46
(1 1 1), 2θ = 25.97°, rel. 45
(0 2 2), 2θ = 33.62°, rel. 43
(1 3 0), 2θ = 28.13°, rel. 43
(2 0 -1), 2θ = 33.16°, rel. 41